[1]
Starting from a structure optimized by DFT (PBE), the powder X-ray diffraction pattern of Tl2Co2H was simulated for Cu Kα.
Peak positions follow from Bragg's law for the DFT cell and can differ from measured ones.

Cell: 4.793 4.793 4.793 Å, 112.45 112.45 103.66°
Fractional positions:
Tl 0.250 0.750 0.500
Tl 0.750 0.250 0.500
Co 0.193 0.193 0.000
Co 0.807 0.807 0.000
H 0.500 0.500 0.000

Peak list (10 most intense, 2θ = 10–90°, low angle first)
Position (°2θ), I (rel.)
23.6, 63.8
30.2, 58.1
33.6, 100.0
38.7, 47.0
45.8, 74.4
48.3, 36.2
58.0, 36.9
63.5, 23.3
80.6, 16.0
88.4, 23.4

=====

[2]
Starting from a structure optimized by DFT (PBE), the powder X-ray diffraction pattern of PaH8Rh6 was simulated for Cu Kα.
Peak positions follow from Bragg's law for the DFT cell and can differ from measured ones.

Cell: 6.107 6.107 6.107 Å, 54.20 54.20 54.20°
Fractional positions:
Pa 0.000 0.000 0.000
H 0.171 0.723 0.723
H 0.277 0.277 0.829
H 0.277 0.829 0.277
H 0.310 0.310 0.310
H 0.690 0.690 0.690
H 0.723 0.171 0.723
H 0.723 0.723 0.171
H 0.829 0.277 0.277
Rh 0.080 0.592 0.592
Rh 0.408 0.408 0.920
Rh 0.408 0.920 0.408
Rh 0.592 0.080 0.592
Rh 0.592 0.592 0.080
Rh 0.920 0.408 0.408

Peak list (10 most intense, 2θ = 10–90°, low angle first)
Position (°2θ), I (rel.)
29.5, 44.1
34.3, 37.0
36.6, 22.8
37.8, 100.0
39.1, 39.2
44.9, 14.9
47.9, 32.8
58.7, 17.9
67.3, 22.8
78.3, 14.2

=====

[3]
Starting from a structure optimized by DFT (PBE), the powder X-ray diffraction pattern of BC3 was simulated for Cu Kα.
Peak positions follow from Bragg's law for the DFT cell and can differ from measured ones.

Cell: 4.492 4.492 4.640 Å, 97.43 97.43 32.26°
Fractional positions:
B 0.000 0.000 0.000
B 0.246 0.246 0.751
C 0.191 0.191 0.069
C 0.432 0.432 0.781
C 0.491 0.491 0.485
C 0.671 0.671 0.531
C 0.744 0.744 0.245
C 0.930 0.930 0.308

Peak list (10 most intense, 2θ = 10–90°, low angle first)
Position (°2θ), I (rel.)
19.3, 9.7
42.0, 46.5
42.3, 48.9
43.2, 100.0
71.9, 26.4
72.2, 25.6
73.3, 12.7
76.3, 11.5
88.9, 9.0
89.2, 8.0